Calculated powder XRD pattern of Dy3CdPd5 for CuKα, from a PBE-relaxed structure.
Intensities are scaled so that the largest is 100.

```
Dy3CdPd5
1.0
8.469 0.000 0.000
-4.234 7.334 0.000
0.000 0.000 5.794
Dy Cd Pd
6 2 10
direct
0.000 0.362 0.250 Dy
0.000 0.638 0.750 Dy
0.362 0.000 0.250 Dy
0.362 0.362 0.750 Dy
0.638 0.000 0.750 Dy
0.638 0.638 0.250 Dy
0.000 0.000 0.000 Cd
0.000 0.000 0.500 Cd
0.000 0.308 0.750 Pd
0.000 0.692 0.250 Pd
0.308 0.000 0.750 Pd
0.308 0.308 0.250 Pd
0.333 0.667 0.000 Pd
0.333 0.667 0.500 Pd
0.667 0.333 0.000 Pd
0.667 0.333 0.500 Pd
0.692 0.000 0.250 Pd
0.692 0.692 0.750 Pd
```

Peak list (12 most intense, 2θ from 15° to 90°, low angle first)
d [Å]  2θ (°)  intensity
2.897  30.87  10
2.501  35.91  15
2.445  36.76  100
2.391  37.62  86
1.919  47.37  8
1.868  48.74  13
1.709  53.62  27
1.448  64.32  7
1.411  66.21  13
1.401  66.78  29
1.348  69.77  8
1.246  76.44  23



Calculated powder XRD pattern of Li8InSn5 for CuKα, from a PBE-relaxed structure.
Intensities are scaled so that the largest is 100.

```
Li8InSn5
1.0
-3.938 3.938 4.643
3.938 -3.938 4.643
3.938 3.938 -4.643
Li In Sn
8 1 5
direct
0.067 0.644 0.731 Li
0.303 0.573 0.096 Li
0.356 0.087 0.423 Li
0.427 0.523 0.730 Li
0.477 0.207 0.904 Li
0.664 0.933 0.577 Li
0.793 0.697 0.270 Li
0.913 0.336 0.269 Li
0.000 0.000 0.000 In
0.041 0.169 0.602 Sn
0.250 0.750 0.500 Sn
0.561 0.959 0.127 Sn
0.567 0.439 0.398 Sn
0.831 0.433 0.873 Sn
```

Peak list (12 most intense, 2θ from 15° to 90°, low angle first)
d [Å]  2θ (°)  intensity
4.643  19.12  25
3.566  24.97  47
3.293  27.08  100
3.003  29.75  16
2.881  31.04  15
2.526  35.54  30
2.490  36.06  19
2.325  38.74  37
2.195  41.13  23
2.143  42.17  14
2.126  42.52  16
1.784  51.20  20



Calculated powder XRD pattern of Tl3FeCl6 for CuKα, from a PBE-relaxed structure.
Intensities are scaled so that the largest is 100.

```
Tl3FeCl6
1.0
6.053 -7.887 0.000
6.053 7.887 0.000
0.000 0.000 7.683
Tl Fe Cl
6 2 12
direct
0.096 0.904 0.500 Tl
0.207 0.394 0.473 Tl
0.394 0.207 0.973 Tl
0.606 0.793 0.473 Tl
0.793 0.606 0.973 Tl
0.904 0.096 0.000 Tl
0.309 0.691 0.912 Fe
0.691 0.309 0.412 Fe
0.101 0.603 0.794 Cl
0.150 0.168 0.734 Cl
0.168 0.150 0.234 Cl
0.295 0.705 0.197 Cl
0.397 0.899 0.794 Cl
0.445 0.555 0.832 Cl
0.555 0.445 0.332 Cl
0.603 0.101 0.294 Cl
0.705 0.295 0.697 Cl
0.832 0.850 0.734 Cl
0.850 0.832 0.234 Cl
0.899 0.397 0.294 Cl
```

Peak list (12 most intense, 2θ from 15° to 90°, low angle first)
d [Å]  2θ (°)  intensity
4.076  21.81  100
3.910  22.74  9
3.841  23.15  12
3.033  29.45  16
2.752  32.54  14
2.740  32.68  23
2.486  36.14  16
2.260  39.88  15
2.114  42.77  15
2.087  43.36  9
1.821  50.08  8
1.668  55.04  7